[1]
Starting from a cell relaxed with PBE, the PXRD pattern of Ta4Co2N was calculated for λ = 1.5418 Å (Cu Kα).
Peak positions follow from Bragg's law for the DFT cell and can differ from measured ones.

Structure:
Cell: 11.5874 11.5874 11.5874 Å, 90.00 90.00 90.00°
Space group Fd-3m (No. 227, origin choice 2)
Symmetry-distinct sites (fractional):
Ta 0.0000 0.0000 0.0000
Ta 0.0623 0.3750 0.8750
Co 0.0446 0.0446 0.2054
N 0.0000 0.0000 0.5000

Most intense lines, 2θ from 10° to 90°, in order of falling intensity:
2theta  I/Imax
40.45  1000
38.04  491
33.72  479
68.74  431
44.22  344
82.90  192
65.99  154
70.36  149
52.38  109
26.65  78


[2]
Starting from a cell relaxed with PBE, the PXRD pattern of TiCo4N4 was calculated for λ = 1.5418 Å (Cu Kα).
Peak positions follow from Bragg's law for the DFT cell and can differ from measured ones.

Structure:
Cell: 4.8728 5.0001 7.6407 Å, 72.95 81.67 69.56°
Space group P-1 (No. 2)
Symmetry-distinct sites (fractional):
Ti 0.2140 0.3683 0.2802
Co 0.2461 0.5467 0.9011
Co 0.2464 0.9550 0.0985
Co 0.2483 0.7726 0.4552
Co 0.2629 0.0979 0.7169
N 0.0150 0.2875 0.9056
N 0.0454 0.8701 0.6869
N 0.3467 0.3600 0.5136
N 0.4891 0.2158 0.0829

Most intense lines, 2θ from 10° to 90°, in order of falling intensity:
2theta  I/Imax
44.72  1000
38.48  996
39.52  982
37.96  952
38.01  922
43.36  900
46.15  844
65.52  282
63.28  277
64.80  270


[3]
Starting from a cell relaxed with PBE, the PXRD pattern of TiCoN2 was calculated for λ = 1.5418 Å (Cu Kα).
Peak positions follow from Bragg's law for the DFT cell and can differ from measured ones.

Structure:
Cell: 5.7529 4.1214 6.8380 Å, 90.00 90.00 90.00°
Space group Pnma (No. 62)
Symmetry-distinct sites (fractional):
Ti 0.1149 0.2500 0.1225
Co 0.0628 0.2500 0.6563
N 0.0415 0.7500 0.6217
N 0.1060 0.7500 0.1043

Most intense lines, 2θ from 10° to 90°, in order of falling intensity:
2theta  I/Imax
37.59  1000
30.41  904
43.94  654
54.87  571
38.15  570
31.09  423
72.83  340
54.38  292
53.61  242
71.74  178


[4]
Starting from a cell relaxed with PBE, the PXRD pattern of Ti7Co3N10 was calculated for λ = 1.5418 Å (Cu Kα).
Peak positions follow from Bragg's law for the DFT cell and can differ from measured ones.

Structure:
Cell: 5.3502 14.1243 4.9745 Å, 90.00 90.00 90.00°
Space group Imm2 (No. 44)
Symmetry-distinct sites (fractional):
Ti 0.0000 0.0000 0.0000
Ti 0.0000 0.1016 0.5051
Ti 0.0000 0.3013 0.4941
Ti 0.0000 0.4018 0.9903
Co 0.0000 0.2046 0.9921
Co 0.0000 0.5000 0.4374
N 0.2376 0.0000 0.3491
N 0.2451 0.4014 0.3276
N 0.2476 0.3003 0.8306

Most intense lines, 2θ from 10° to 90°, in order of falling intensity:
2theta  I/Imax
50.44  1000
36.58  803
50.08  463
36.11  449
33.50  368
65.25  214
87.37  156
82.03  132
75.37  116
66.16  113